This entry pairs a crystal structure of Li3Cr2P3O12 with its computed X-ray diffraction stick pattern. Radiation: CuKα. Structure: a cell relaxed with PBE+U.

Atomic structure:
a b c (Å): 8.138 5.334 18.827
angles (deg): 90.00 90.38 90.00
Space group C2/m (No. 12)
One atom of each set of equivalent atoms:
Li (0.001, 0.000, 0.333) (multiplicity 4)
Li (0.171, 0.500, 0.744) (multiplicity 4)
Li (0.175, 0.500, 0.409) (multiplicity 4)
Cr (0.000, 0.000, 0.000) (multiplicity 2)
Cr (0.000, 0.000, 0.500) (multiplicity 2)
Cr (0.004, 0.000, 0.165) (multiplicity 4)
P (0.149, 0.500, 0.579) (multiplicity 4)
P (0.151, 0.500, 0.917) (multiplicity 4)
P (0.156, 0.500, 0.244) (multiplicity 4)
O (0.031, 0.266, 0.577) (multiplicity 8)
O (0.035, 0.259, 0.918) (multiplicity 8)
O (0.036, 0.266, 0.241) (multiplicity 8)
O (0.233, 0.000, 0.821) (multiplicity 4)
O (0.239, 0.000, 0.018) (multiplicity 4)
O (0.243, 0.000, 0.489) (multiplicity 4)
O (0.248, 0.000, 0.687) (multiplicity 4)
O (0.248, 0.500, 0.847) (multiplicity 4)
O (0.249, 0.000, 0.354) (multiplicity 4)

Most intense lines, 2θ = 5–70°, in order of rising 2θ:
d (Å), I (rel.), hkl
6.276, 322, 0 0 3
4.461, 155, 1 1 0
3.631, 1000, 1 1 3
3.425, 532, 2 0 -3
2.667, 406, 0 2 0
2.571, 508, 1 1 -6
2.562, 510, 1 1 6
2.418, 479, 3 1 0
2.033, 376, 4 0 0
1.569, 161, 0 0 12
1.441, 179, 4 2 -6
1.435, 232, 4 2 6